(1)
Starting from the PBE geometry in the Materials Project, the X-ray powder pattern of BaCeEuSbO6 was computed for λ = 1.5418 Å (Cu Kα).

Crystal structure
```
BaCeEuSbO6
1.0
0.000 4.314 4.314
4.314 0.000 4.314
4.314 4.314 0.000
Ba Ce Eu Sb O
1 1 1 1 6
Direct
0.000 0.000 0.000 Ba
0.750 0.750 0.750 Ce
0.500 0.500 0.500 Eu
0.250 0.250 0.250 Sb
0.016 0.016 0.484 O
0.016 0.484 0.016 O
0.016 0.484 0.484 O
0.484 0.016 0.016 O
0.484 0.016 0.484 O
0.484 0.484 0.016 O
```

Top 8 peaks for 2θ from 10° to 90°, in order of rising 2θ:
| 2θ/deg | d_spacing | Rel. int. |
| --- | --- | --- |
| 29.28 | 3.051 | 100 |
| 36.06 | 2.491 | 2 |
| 41.88 | 2.157 | 29 |
| 51.91 | 1.761 | 41 |
| 60.72 | 1.525 | 18 |
| 68.81 | 1.364 | 18 |
| 76.49 | 1.245 | 6 |
| 83.92 | 1.153 | 22 |


(2)
Starting from the PBE geometry in the Materials Project, the X-ray powder pattern of MgI2O6 was computed for λ = 1.5418 Å (Cu Kα).

Crystal structure
```
MgI2O6
1.0
14.781 0.000 0.000
0.000 6.751 0.000
0.000 0.000 5.304
Mg I O
4 8 24
Direct
0.000 0.139 0.250 Mg
0.000 0.861 0.750 Mg
0.500 0.361 0.750 Mg
0.500 0.639 0.250 Mg
0.150 0.286 0.748 I
0.150 0.714 0.248 I
0.350 0.214 0.248 I
0.350 0.786 0.748 I
0.650 0.214 0.252 I
0.650 0.786 0.752 I
0.850 0.286 0.752 I
0.850 0.714 0.252 I
0.077 0.103 0.580 O
0.077 0.897 0.080 O
0.081 0.334 0.034 O
0.081 0.666 0.534 O
0.237 0.123 0.870 O
0.237 0.877 0.370 O
0.263 0.377 0.370 O
0.263 0.623 0.870 O
0.419 0.166 0.534 O
0.419 0.834 0.034 O
0.423 0.397 0.080 O
0.423 0.603 0.580 O
0.577 0.397 0.420 O
0.577 0.603 0.920 O
0.581 0.166 0.966 O
0.581 0.834 0.466 O
0.737 0.377 0.130 O
0.737 0.623 0.630 O
0.763 0.123 0.630 O
0.763 0.877 0.130 O
0.919 0.334 0.466 O
0.919 0.666 0.966 O
0.923 0.103 0.920 O
0.923 0.897 0.420 O
```

Top 10 peaks for 2θ from 10° to 90°, in order of rising 2θ:
| 2θ/deg | d_spacing | Rel. int. |
| --- | --- | --- |
| 22.15 | 4.014 | 46 |
| 24.08 | 3.695 | 17 |
| 26.41 | 3.375 | 25 |
| 28.03 | 3.183 | 100 |
| 33.80 | 2.652 | 12 |
| 36.03 | 2.493 | 16 |
| 43.39 | 2.085 | 11 |
| 48.31 | 1.884 | 14 |
| 50.57 | 1.805 | 11 |
| 57.00 | 1.616 | 13 |


(3)
Starting from the PBE geometry in the Materials Project, the X-ray powder pattern of Sr2LuNbO6 was computed for λ = 1.5418 Å (Cu Kα).

Crystal structure
```
Sr2LuNbO6
1.0
5.854 0.000 0.000
0.000 5.853 0.000
-5.833 0.000 8.283
Sr Lu Nb O
4 2 2 12
Direct
0.244 0.026 0.247 Sr
0.244 0.474 0.747 Sr
0.756 0.526 0.253 Sr
0.756 0.974 0.753 Sr
0.500 0.000 0.000 Lu
0.500 0.500 0.500 Lu
0.000 0.000 0.500 Nb
0.000 0.500 0.000 Nb
0.165 0.220 0.965 O
0.165 0.280 0.465 O
0.235 0.704 0.960 O
0.235 0.796 0.460 O
0.312 0.014 0.740 O
0.312 0.486 0.240 O
0.688 0.514 0.760 O
0.688 0.986 0.260 O
0.765 0.204 0.540 O
0.765 0.296 0.040 O
0.835 0.720 0.535 O
0.835 0.780 0.035 O
```

Top 10 peaks for 2θ from 10° to 90°, in order of rising 2θ:
| 2θ/deg | d_spacing | Rel. int. |
| --- | --- | --- |
| 21.47 | 4.140 | 11 |
| 30.54 | 2.927 | 100 |
| 43.73 | 2.070 | 28 |
| 54.25 | 1.691 | 25 |
| 54.32 | 1.689 | 18 |
| 63.54 | 1.464 | 11 |
| 72.14 | 1.309 | 14 |
| 88.24 | 1.107 | 7 |
| 88.35 | 1.106 | 6 |
| 88.43 | 1.106 | 7 |


(4)
Starting from the PBE geometry in the Materials Project, the X-ray powder pattern of BaCa3Si10N12O6 was computed for λ = 1.5418 Å (Cu Kα).

Crystal structure
```
BaCa3Si10N12O6
1.0
4.874 0.000 0.000
2.374 6.736 0.000
1.149 3.379 12.048
Ba Ca Si N O
1 3 10 12 6
Direct
0.000 0.000 0.000 Ba
0.254 0.578 0.527 Ca
0.610 0.902 0.526 Ca
0.931 0.261 0.485 Ca
0.096 0.640 0.251 Si
0.097 0.898 0.729 Si
0.286 0.317 0.119 Si
0.288 0.446 0.863 Si
0.476 0.868 0.270 Si
0.477 0.148 0.710 Si
0.661 0.570 0.119 Si
0.663 0.697 0.863 Si
0.857 0.114 0.251 Si
0.857 0.379 0.730 Si
0.022 0.536 0.151 N
0.023 0.696 0.828 N
0.215 0.106 0.215 N
0.220 0.339 0.759 N
0.263 0.298 0.989 N
0.425 0.687 0.213 N
0.435 0.907 0.759 N
0.557 0.722 0.989 N
0.630 0.482 0.828 N
0.631 0.319 0.150 N
0.822 0.886 0.232 N
0.828 0.132 0.741 N
0.090 0.887 0.600 O
0.091 0.509 0.380 O
0.430 0.801 0.404 O
0.431 0.216 0.574 O
0.774 0.118 0.379 O
0.778 0.520 0.600 O
```

Top 10 peaks for 2θ from 10° to 90°, in order of rising 2θ:
| 2θ/deg | d_spacing | Rel. int. |
| --- | --- | --- |
| 13.65 | 6.487 | 13 |
| 27.13 | 3.287 | 23 |
| 28.14 | 3.171 | 16 |
| 29.13 | 3.066 | 100 |
| 29.66 | 3.012 | 13 |
| 30.41 | 2.940 | 14 |
| 30.99 | 2.885 | 41 |
| 32.57 | 2.749 | 13 |
| 37.08 | 2.425 | 33 |
| 40.34 | 2.236 | 17 |


(5)
Starting from the PBE geometry in the Materials Project, the X-ray powder pattern of Sb was computed for λ = 1.5418 Å (Cu Kα).

Crystal structure
```
Sb
1.0
4.528 0.000 0.000
0.000 4.421 0.000
-1.321 0.000 6.364
Sb
4
Direct
0.063 0.250 0.237 Sb
0.340 0.250 0.684 Sb
0.660 0.750 0.316 Sb
0.937 0.750 0.763 Sb
```

Top 10 peaks for 2θ from 10° to 90°, in order of rising 2θ:
| 2θ/deg | d_spacing | Rel. int. |
| --- | --- | --- |
| 28.04 | 3.182 | 55 |
| 28.51 | 3.130 | 58 |
| 29.95 | 2.984 | 100 |
| 33.67 | 2.662 | 30 |
| 40.27 | 2.239 | 24 |
| 40.82 | 2.211 | 29 |
| 43.36 | 2.087 | 23 |
| 48.24 | 1.886 | 28 |
| 50.26 | 1.815 | 22 |
| 67.66 | 1.385 | 21 |


(6)
Starting from the PBE geometry in the Materials Project, the X-ray powder pattern of Ca5Au2 was computed for λ = 1.5418 Å (Cu Kα).

Crystal structure
```
Ca5Au2
1.0
8.433 -3.440 0.000
8.433 3.440 0.000
-1.052 0.000 7.759
Ca Au
10 4
Direct
0.080 0.920 0.750 Ca
0.139 0.299 0.317 Ca
0.299 0.139 0.817 Ca
0.300 0.518 0.079 Ca
0.482 0.700 0.421 Ca
0.518 0.300 0.579 Ca
0.700 0.482 0.921 Ca
0.701 0.861 0.183 Ca
0.861 0.701 0.683 Ca
0.920 0.080 0.250 Ca
0.096 0.683 0.419 Au
0.317 0.904 0.081 Au
0.683 0.096 0.919 Au
0.904 0.317 0.581 Au
```

Top 10 peaks for 2θ from 10° to 90°, in order of rising 2θ:
| 2θ/deg | d_spacing | Rel. int. |
| --- | --- | --- |
| 18.48 | 4.801 | 100 |
| 21.26 | 4.178 | 32 |
| 22.45 | 3.961 | 58 |
| 23.95 | 3.715 | 23 |
| 30.92 | 2.892 | 20 |
| 33.23 | 2.696 | 28 |
| 33.75 | 2.656 | 26 |
| 35.56 | 2.525 | 23 |
| 36.84 | 2.440 | 25 |
| 37.12 | 2.422 | 20 |